Diffraction record for Pr2InNi9. The powder diffractogram is theoretical, not measured: it uses a PBE-relaxed structure and Cu Ka.

Lattice parameters (Å, degrees): 8.7700 8.7700 8.7700 32.95 32.95 32.95
Sites, in units of the cell vectors:
Pr 0.1354 0.1354 0.1354
Pr 0.8646 0.8646 0.8646
In 0.0000 0.0000 0.0000
Ni 0.0805 0.5794 0.5794
Ni 0.3327 0.3327 0.3327
Ni 0.4206 0.4206 0.9195
Ni 0.4206 0.9195 0.4206
Ni 0.5000 0.5000 0.5000
Ni 0.5794 0.0805 0.5794
Ni 0.5794 0.5794 0.0805
Ni 0.6673 0.6673 0.6673
Ni 0.9195 0.4206 0.4206

Principal peaks in the range 5 to 70 degrees two-theta, by angle:
| d/Å | 2θ (°) | I_rel |
| --- | --- | --- |
| 2.740 | 32.68 | 50 |
| 2.520 | 35.63 | 53 |
| 2.487 | 36.12 | 57 |
| 2.146 | 42.12 | 45 |
| 2.132 | 42.39 | 100 |
| 2.001 | 45.32 | 21 |
| 1.976 | 45.92 | 27 |
| 1.480 | 62.79 | 15 |
| 1.442 | 64.63 | 18 |
| 1.357 | 69.26 | 22 |

=====

Diffraction record for KLiHoBr5. The powder diffractogram is theoretical, not measured: it uses a PBE-relaxed structure and Cu Ka.

Lattice parameters (Å, degrees): 7.8473 7.8473 10.5337 103.51 103.51 107.79
Sites, in units of the cell vectors:
K 0.1504 0.8496 0.7500
K 0.8496 0.1504 0.2500
Li 0.1916 0.8084 0.2500
Li 0.8084 0.1916 0.7500
Ho 0.5000 0.5000 0.0000
Ho 0.5000 0.5000 0.5000
Br 0.1256 0.2541 0.9302
Br 0.1892 0.5852 0.3899
Br 0.2541 0.1256 0.4302
Br 0.4148 0.8108 0.1101
Br 0.4189 0.5811 0.7500
Br 0.5811 0.4189 0.2500
Br 0.5852 0.1892 0.8899
Br 0.7459 0.8744 0.5698
Br 0.8108 0.4148 0.6101
Br 0.8744 0.7459 0.0698

Principal peaks in the range 5 to 70 degrees two-theta, by angle:
| d/Å | 2θ (°) | I_rel |
| --- | --- | --- |
| 7.055 | 12.55 | 100 |
| 6.340 | 13.97 | 31 |
| 4.792 | 18.52 | 62 |
| 3.845 | 23.13 | 23 |
| 3.383 | 26.34 | 34 |
| 3.330 | 26.78 | 41 |
| 3.012 | 29.66 | 35 |
| 2.978 | 30.01 | 26 |
| 2.762 | 32.41 | 29 |
| 2.560 | 35.05 | 26 |

=====

Diffraction record for Cu3AsS4. The powder diffractogram is theoretical, not measured: it uses a PBE-relaxed structure and Cu Ka.

Lattice parameters (Å, degrees): 5.3127 5.3127 5.3127 90.00 90.00 90.00
Sites, in units of the cell vectors:
Cu 0.0000 0.0000 0.5000
Cu 0.0000 0.5000 0.0000
Cu 0.5000 0.0000 0.0000
As 0.5000 0.5000 0.5000
S 0.2455 0.2455 0.7545
S 0.2455 0.7545 0.2455
S 0.7545 0.2455 0.2455
S 0.7545 0.7545 0.7545

Principal peaks in the range 5 to 70 degrees two-theta, by angle:
| d/Å | 2θ (°) | I_rel |
| --- | --- | --- |
| 3.067 | 29.11 | 100 |
| 2.656 | 33.74 | 12 |
| 1.878 | 48.46 | 60 |
| 1.602 | 57.54 | 40 |
| 1.534 | 60.35 | 3 |

=====

Diffraction record for Cs2RbTiI6. The powder diffractogram is theoretical, not measured: it uses a PBE-relaxed structure and Cu Ka.

Lattice parameters (Å, degrees): 8.4478 12.6411 9.7376 90.00 90.00 90.00
Sites, in units of the cell vectors:
Cs 0.2500 0.0334 0.1896
Cs 0.2500 0.4666 0.1896
Cs 0.7500 0.5334 0.8104
Cs 0.7500 0.9666 0.8104
Rb 0.2500 0.2500 0.6981
Rb 0.7500 0.7500 0.3019
Ti 0.2500 0.7500 0.7945
Ti 0.7500 0.2500 0.2055
I 0.0098 0.7500 0.5938
I 0.0180 0.7500 0.0076
I 0.2500 0.5253 0.7926
I 0.2500 0.9747 0.7926
I 0.4820 0.7500 0.0076
I 0.4902 0.7500 0.5938
I 0.5098 0.2500 0.4062
I 0.5180 0.2500 0.9924
I 0.7500 0.0253 0.2074
I 0.7500 0.4747 0.2074
I 0.9820 0.2500 0.9924
I 0.9902 0.2500 0.4062

Principal peaks in the range 5 to 70 degrees two-theta, by angle:
| d/Å | 2θ (°) | I_rel |
| --- | --- | --- |
| 3.857 | 23.06 | 67 |
| 3.512 | 25.36 | 100 |
| 3.190 | 27.97 | 93 |
| 3.160 | 28.24 | 55 |
| 3.094 | 28.86 | 31 |
| 2.887 | 30.97 | 44 |
| 2.573 | 34.87 | 36 |
| 2.245 | 40.16 | 46 |
| 1.755 | 52.11 | 30 |
| 1.704 | 53.81 | 50 |

=====

Diffraction record for CaEr3Rh4. The powder diffractogram is theoretical, not measured: it uses a PBE-relaxed structure and Cu Ka.

Lattice parameters (Å, degrees): 8.3279 8.3279 8.3279 33.49 33.49 33.49
Sites, in units of the cell vectors:
Ca 0.0000 0.0000 0.0000
Er 0.2516 0.2516 0.2516
Er 0.5000 0.5000 0.5000
Er 0.7484 0.7484 0.7484
Rh 0.1277 0.1277 0.1277
Rh 0.3782 0.3782 0.3782
Rh 0.6218 0.6218 0.6218
Rh 0.8723 0.8723 0.8723

Principal peaks in the range 5 to 70 degrees two-theta, by angle:
| d/Å | 2θ (°) | I_rel |
| --- | --- | --- |
| 7.854 | 11.27 | 5 |
| 4.092 | 21.72 | 4 |
| 3.921 | 22.68 | 4 |
| 3.395 | 26.25 | 2 |
| 2.401 | 37.46 | 100 |
| 2.047 | 44.24 | 2 |
| 1.769 | 51.68 | 2 |
| 1.698 | 54.01 | 17 |
| 1.388 | 67.48 | 8 |
| 1.386 | 67.61 | 26 |

=====

Diffraction record for Tm4Te4Pb. The powder diffractogram is theoretical, not measured: it uses a PBE-relaxed structure and Cu Ka.

Lattice parameters (Å, degrees): 7.5687 7.5687 10.6869 118.82 118.82 33.11
Sites, in units of the cell vectors:
Tm 0.0964 0.0964 0.3991
Tm 0.3014 0.3014 0.1976
Tm 0.6986 0.6986 0.8024
Tm 0.9036 0.9036 0.6009
Te 0.1026 0.1026 0.9021
Te 0.3024 0.3024 0.7011
Te 0.6976 0.6976 0.2989
Te 0.8974 0.8974 0.0979
Pb 0.5000 0.5000 0.5000

Principal peaks in the range 5 to 70 degrees two-theta, by angle:
| d/Å | 2θ (°) | I_rel |
| --- | --- | --- |
| 9.237 | 9.57 | 18 |
| 3.075 | 29.04 | 100 |
| 3.056 | 29.22 | 48 |
| 2.193 | 41.17 | 19 |
| 2.168 | 41.66 | 74 |
| 2.157 | 41.89 | 18 |
| 1.782 | 51.28 | 20 |
| 1.762 | 51.89 | 20 |
| 1.373 | 68.29 | 17 |
| 1.369 | 68.57 | 17 |

=====

Diffraction record for Cs2ScTe8. The powder diffractogram is theoretical, not measured: it uses a PBE-relaxed structure and Cu Ka.

Lattice parameters (Å, degrees): 7.1253 8.1270 8.3525 73.70 87.23 85.37
Sites, in units of the cell vectors:
Cs 0.1154 0.2422 0.0133
Cs 0.8846 0.7578 0.9867
Sc 0.5000 0.5000 0.5000
Te 0.1372 0.4314 0.4024
Te 0.3138 0.9987 0.6578
Te 0.4246 0.8134 0.2414
Te 0.4271 0.6516 0.7902
Te 0.5729 0.3484 0.2098
Te 0.5754 0.1866 0.7586
Te 0.6862 0.0013 0.3422
Te 0.8628 0.5686 0.5976

Principal peaks in the range 5 to 70 degrees two-theta, by angle:
| d/Å | 2θ (°) | I_rel |
| --- | --- | --- |
| 4.002 | 22.21 | 43 |
| 3.618 | 24.60 | 52 |
| 3.530 | 25.23 | 44 |
| 3.450 | 25.82 | 46 |
| 3.426 | 26.01 | 81 |
| 3.318 | 26.87 | 79 |
| 3.171 | 28.14 | 100 |
| 3.078 | 29.01 | 32 |
| 2.538 | 35.37 | 38 |
| 1.834 | 49.71 | 31 |

=====

Diffraction record for Dy3Ga4Pd7. The powder diffractogram is theoretical, not measured: it uses a PBE-relaxed structure and Cu Ka.

Lattice parameters (Å, degrees): 8.0783 8.0783 9.5714 123.84 123.84 29.71
Sites, in units of the cell vectors:
Dy 0.0000 0.0000 0.0000
Dy 0.3272 0.3272 0.3341
Dy 0.6728 0.6728 0.6659
Ga 0.1134 0.1134 0.8358
Ga 0.3379 0.3379 0.7296
Ga 0.6621 0.6621 0.2704
Ga 0.8866 0.8866 0.1642
Pd 0.0000 0.0000 0.5000
Pd 0.1621 0.1621 0.4250
Pd 0.3080 0.3080 0.9612
Pd 0.4948 0.4948 0.7137
Pd 0.5052 0.5052 0.2863
Pd 0.6919 0.6919 0.0388
Pd 0.8378 0.8378 0.5750

Principal peaks in the range 5 to 70 degrees two-theta, by angle:
| d/Å | 2θ (°) | I_rel |
| --- | --- | --- |
| 2.968 | 30.11 | 21 |
| 2.558 | 35.09 | 100 |
| 2.526 | 35.54 | 34 |
| 2.498 | 35.96 | 23 |
| 2.487 | 36.12 | 73 |
| 2.390 | 37.63 | 20 |
| 2.320 | 38.81 | 23 |
| 2.127 | 42.49 | 36 |
| 2.071 | 43.71 | 53 |
| 1.484 | 62.60 | 22 |

=====

Diffraction record for Ca3Co2H9. The powder diffractogram is theoretical, not measured: it uses a PBE-relaxed structure and Cu Ka.

Lattice parameters (Å, degrees): 4.9338 4.9338 6.0542 90.00 90.00 120.00
Sites, in units of the cell vectors:
Ca 0.0000 0.0000 0.0000
Ca 0.3333 0.6667 0.3429
Ca 0.6667 0.3333 0.6571
Co 0.3333 0.6667 0.8340
Co 0.6667 0.3333 0.1660
H 0.0000 0.5000 0.0000
H 0.1770 0.3539 0.6857
H 0.1770 0.8230 0.6857
H 0.3539 0.1770 0.3143
H 0.5000 0.0000 0.0000
H 0.5000 0.5000 0.0000
H 0.6461 0.8230 0.6857
H 0.8230 0.1770 0.3143
H 0.8230 0.6461 0.3143

Principal peaks in the range 5 to 70 degrees two-theta, by angle:
| d/Å | 2θ (°) | I_rel |
| --- | --- | --- |
| 6.054 | 14.63 | 9 |
| 4.273 | 20.79 | 14 |
| 3.491 | 25.52 | 9 |
| 2.469 | 36.40 | 100 |
| 2.285 | 39.44 | 4 |
| 2.136 | 42.30 | 2 |
| 1.825 | 49.98 | 2 |
| 1.745 | 52.42 | 18 |
| 1.425 | 65.48 | 24 |
| 1.424 | 65.54 | 8 |

=====

Diffraction record for TbSm5Al3. The powder diffractogram is theoretical, not measured: it uses a PBE-relaxed structure and Cu Ka.

Lattice parameters (Å, degrees): 9.2321 9.2321 6.7667 90.00 90.00 59.76
Sites, in units of the cell vectors:
Tb 0.0000 0.0000 0.0000
Tb 0.0000 0.0000 0.5000
Sm 0.0065 0.6662 0.2500
Sm 0.3225 0.3225 0.0000
Sm 0.3225 0.3225 0.5000
Sm 0.3338 0.9935 0.2500
Sm 0.3392 0.6608 0.7500
Sm 0.6608 0.3392 0.2500
Sm 0.6662 0.0065 0.7500
Sm 0.6775 0.6775 0.0000
Sm 0.6775 0.6775 0.5000
Sm 0.9935 0.3338 0.7500
Al 0.0000 0.3315 0.2500
Al 0.0000 0.6685 0.7500
Al 0.3306 0.6694 0.2500
Al 0.3315 0.0000 0.7500
Al 0.6685 0.0000 0.2500
Al 0.6694 0.3306 0.7500

Principal peaks in the range 5 to 70 degrees two-theta, by angle:
| d/Å | 2θ (°) | I_rel |
| --- | --- | --- |
| 4.610 | 19.25 | 13 |
| 3.810 | 23.35 | 46 |
| 2.728 | 32.83 | 100 |
| 2.668 | 33.59 | 28 |
| 2.659 | 33.71 | 58 |
| 1.907 | 47.70 | 22 |
| 1.902 | 47.82 | 12 |
| 1.692 | 54.23 | 11 |
| 1.548 | 59.75 | 23 |
| 1.428 | 65.36 | 25 |

=====

Diffraction record for Li4Ga2Ge. The powder diffractogram is theoretical, not measured: it uses a PBE-relaxed structure and Cu Ka.

Lattice parameters (Å, degrees): 7.5378 7.5378 4.5912 90.00 90.00 145.75
Sites, in units of the cell vectors:
Li 0.0929 0.9071 0.0000
Li 0.4012 0.5988 0.5000
Li 0.5988 0.4012 0.5000
Li 0.9071 0.0929 0.0000
Ga 0.2886 0.7114 0.0000
Ga 0.7114 0.2886 0.0000
Ge 0.0000 0.0000 0.5000

Principal peaks in the range 5 to 70 degrees two-theta, by angle:
| d/Å | 2θ (°) | I_rel |
| --- | --- | --- |
| 3.872 | 22.97 | 100 |
| 3.602 | 24.72 | 20 |
| 3.260 | 27.36 | 47 |
| 3.116 | 28.65 | 24 |
| 2.296 | 39.25 | 17 |
| 2.220 | 40.65 | 16 |
| 2.139 | 42.26 | 52 |
| 1.926 | 47.20 | 29 |
| 1.877 | 48.50 | 19 |
| 1.867 | 48.77 | 15 |

=====

Diffraction record for Hf6InSn. The powder diffractogram is theoretical, not measured: it uses a PBE-relaxed structure and Cu Ka.

Lattice parameters (Å, degrees): 5.5889 5.5889 5.5889 90.00 90.00 90.00
Sites, in units of the cell vectors:
Hf 0.0000 0.2505 0.5000
Hf 0.0000 0.7495 0.5000
Hf 0.2505 0.5000 0.0000
Hf 0.5000 0.0000 0.2505
Hf 0.5000 0.0000 0.7495
Hf 0.7495 0.5000 0.0000
In 0.5000 0.5000 0.5000
Sn 0.0000 0.0000 0.0000

Principal peaks in the range 5 to 70 degrees two-theta, by angle:
| d/Å | 2θ (°) | I_rel |
| --- | --- | --- |
| 3.952 | 22.50 | 4 |
| 2.794 | 32.03 | 24 |
| 2.499 | 35.93 | 100 |
| 2.282 | 39.49 | 54 |
| 1.976 | 45.93 | 1 |
| 1.767 | 51.72 | 1 |
| 1.613 | 57.09 | 12 |
| 1.550 | 59.65 | 23 |
| 1.494 | 62.14 | 29 |
| 1.397 | 66.97 | 14 |

=====

Diffraction record for La3Rh5. The powder diffractogram is theoretical, not measured: it uses a PBE-relaxed structure and Cu Ka.

Lattice parameters (Å, degrees): 6.3341 7.1694 8.6621 79.32 75.84 64.21
Sites, in units of the cell vectors:
La 0.0000 0.0000 0.0000
La 0.0252 0.3253 0.3036
La 0.4417 0.3696 0.5344
La 0.5478 0.8636 0.3810
La 0.6995 0.6183 0.9735
La 0.9626 0.8584 0.5820
Rh 0.0904 0.1418 0.6326
Rh 0.1594 0.3594 0.8334
Rh 0.2425 0.5058 0.0679
Rh 0.3119 0.6918 0.7695
Rh 0.3179 0.7200 0.2603
Rh 0.4311 0.0715 0.0714
Rh 0.4968 0.9719 0.7589
Rh 0.6045 0.2709 0.2299
Rh 0.6306 0.2750 0.8173
Rh 0.7922 0.5528 0.6295

Principal peaks in the range 5 to 70 degrees two-theta, by angle:
| d/Å | 2θ (°) | I_rel |
| --- | --- | --- |
| 2.828 | 31.63 | 36 |
| 2.806 | 31.89 | 40 |
| 2.739 | 32.70 | 44 |
| 2.625 | 34.15 | 100 |
| 2.443 | 36.79 | 53 |
| 2.375 | 37.89 | 50 |
| 2.271 | 39.69 | 35 |
| 2.253 | 40.03 | 72 |
| 2.221 | 40.61 | 41 |
| 2.090 | 43.28 | 34 |